No. 1
Structure and simulated PXRD pattern of Nb2Te5Rh (a structure optimized by DFT (GGA-PBE); copper Kα).
Neutral-atom scattering factors, no anomalous dispersion.

Structural model:
```
data_Nb2Te5Rh
_symmetry_space_group_name_H-M 'P 1'
_symmetry_Int_Tables_number 1
_cell_length_a 9.7949
_cell_length_b 7.6016
_cell_length_c 7.1024
_cell_angle_alpha 83.47
_cell_angle_beta 50.45
_cell_angle_gamma 46.09
loop_
_symmetry_equiv_pos_as_xyz
'x,y,z'
loop_
_atom_site_label
_atom_site_type_symbol
_atom_site_fract_x
_atom_site_fract_y
_atom_site_fract_z
Nb1 Nb 0.1923 0.1923 0.8077
Nb2 Nb 0.8077 0.8077 0.1923
Te1 Te 0.0000 0.0000 0.0000
Te2 Te 0.2181 0.4773 0.5227
Te3 Te 0.4773 0.2181 0.7819
Te4 Te 0.5227 0.7819 0.2181
Te5 Te 0.7819 0.5227 0.4773
Rh1 Rh 0.5000 0.5000 0.5000
```

Principal peaks in the range 10 to 80 degrees two-theta, low angle first:
| two_theta | I/Imax |
| --- | --- |
| 13.30 | 100 |
| 27.69 | 42 |
| 32.91 | 77 |
| 36.24 | 46 |
| 36.81 | 49 |
| 37.55 | 29 |
| 42.93 | 26 |
| 52.62 | 30 |

No. 2
Structure and simulated PXRD pattern of Ti3Nb2Rh2 (a structure optimized by DFT (GGA-PBE); copper Kα).
Neutral-atom scattering factors, no anomalous dispersion.

Structural model:
```
data_Ti3Nb2Rh2
_symmetry_space_group_name_H-M 'P 1'
_symmetry_Int_Tables_number 1
_cell_length_a 3.1816
_cell_length_b 3.1816
_cell_length_c 22.3015
_cell_angle_alpha 90.00
_cell_angle_beta 90.00
_cell_angle_gamma 90.00
loop_
_symmetry_equiv_pos_as_xyz
'x,y,z'
loop_
_atom_site_label
_atom_site_type_symbol
_atom_site_fract_x
_atom_site_fract_y
_atom_site_fract_z
Ti1 Ti 0.0000 0.0000 0.0000
Ti2 Ti 0.0000 0.0000 0.1377
Ti3 Ti 0.0000 0.0000 0.8623
Ti4 Ti 0.5000 0.5000 0.3623
Ti5 Ti 0.5000 0.5000 0.5000
Ti6 Ti 0.5000 0.5000 0.6377
Nb1 Nb 0.0000 0.0000 0.2871
Nb2 Nb 0.0000 0.0000 0.7129
Nb3 Nb 0.5000 0.5000 0.2129
Nb4 Nb 0.5000 0.5000 0.7871
Rh1 Rh 0.0000 0.0000 0.4334
Rh2 Rh 0.0000 0.0000 0.5666
Rh3 Rh 0.5000 0.5000 0.0666
Rh4 Rh 0.5000 0.5000 0.9334
```

Principal peaks in the range 10 to 80 degrees two-theta, low angle first:
| two_theta | I/Imax |
| --- | --- |
| 23.94 | 3 |
| 28.34 | 10 |
| 32.11 | 2 |
| 40.06 | 100 |
| 52.25 | 2 |
| 57.95 | 16 |
| 65.77 | 2 |
| 72.78 | 31 |

No. 3
Structure and simulated PXRD pattern of TiNb6Rh (a structure optimized by DFT (GGA-PBE); copper Kα).
Neutral-atom scattering factors, no anomalous dispersion.

Structural model:
```
data_TiNb6Rh
_symmetry_space_group_name_H-M 'P 1'
_symmetry_Int_Tables_number 1
_cell_length_a 6.5728
_cell_length_b 9.1832
_cell_length_c 4.6323
_cell_angle_alpha 90.00
_cell_angle_beta 90.00
_cell_angle_gamma 90.00
loop_
_symmetry_equiv_pos_as_xyz
'x,y,z'
loop_
_atom_site_label
_atom_site_type_symbol
_atom_site_fract_x
_atom_site_fract_y
_atom_site_fract_z
Ti1 Ti 0.0000 0.0000 0.0000
Ti2 Ti 0.5000 0.5000 0.0000
Nb1 Nb 0.0000 0.2461 0.5000
Nb2 Nb 0.0000 0.7539 0.5000
Nb3 Nb 0.2476 0.5000 0.5000
Nb4 Nb 0.2500 0.2500 0.0000
Nb5 Nb 0.2500 0.7500 0.0000
Nb6 Nb 0.2524 0.0000 0.5000
Nb7 Nb 0.5000 0.2539 0.5000
Nb8 Nb 0.5000 0.7461 0.5000
Nb9 Nb 0.7476 0.0000 0.5000
Nb10 Nb 0.7500 0.2500 0.0000
Nb11 Nb 0.7500 0.7500 0.0000
Nb12 Nb 0.7524 0.5000 0.5000
Rh1 Rh 0.0000 0.5000 0.0000
Rh2 Rh 0.5000 0.0000 0.0000
```

Principal peaks in the range 10 to 80 degrees two-theta, low angle first:
| two_theta | I/Imax |
| --- | --- |
| 16.59 | 2 |
| 38.90 | 100 |
| 39.24 | 19 |
| 55.96 | 7 |
| 56.43 | 13 |
| 70.23 | 7 |
| 70.44 | 20 |
| 70.90 | 13 |

No. 4
Structure and simulated PXRD pattern of Ti6Nb2Rh (a structure optimized by DFT (GGA-PBE); copper Kα).
Neutral-atom scattering factors, no anomalous dispersion.

Structural model:
```
data_Ti6Nb2Rh
_symmetry_space_group_name_H-M 'P 1'
_symmetry_Int_Tables_number 1
_cell_length_a 7.4908
_cell_length_b 7.4908
_cell_length_c 4.4105
_cell_angle_alpha 107.03
_cell_angle_beta 107.03
_cell_angle_gamma 48.47
loop_
_symmetry_equiv_pos_as_xyz
'x,y,z'
loop_
_atom_site_label
_atom_site_type_symbol
_atom_site_fract_x
_atom_site_fract_y
_atom_site_fract_z
Ti1 Ti 0.0898 0.5885 0.3395
Ti2 Ti 0.2489 0.7511 0.0000
Ti3 Ti 0.4115 0.9102 0.6605
Ti4 Ti 0.5885 0.0898 0.3395
Ti5 Ti 0.7511 0.2489 0.0000
Ti6 Ti 0.9102 0.4115 0.6605
Nb1 Nb 0.3328 0.3328 0.8330
Nb2 Nb 0.6672 0.6672 0.1670
Rh1 Rh 0.0000 0.0000 0.5000
```

Principal peaks in the range 10 to 80 degrees two-theta, low angle first:
| two_theta | I/Imax |
| --- | --- |
| 24.84 | 53 |
| 25.22 | 52 |
| 40.92 | 26 |
| 41.47 | 100 |
| 41.90 | 24 |
| 48.68 | 17 |
| 49.25 | 16 |
| 74.90 | 16 |

No. 5
Structure and simulated PXRD pattern of NbV6Rh (a structure optimized by DFT (GGA-PBE); copper Kα).
Neutral-atom scattering factors, no anomalous dispersion.

Structural model:
```
data_NbV6Rh
_symmetry_space_group_name_H-M 'P 1'
_symmetry_Int_Tables_number 1
_cell_length_a 6.2058
_cell_length_b 7.5887
_cell_length_c 4.9601
_cell_angle_alpha 90.00
_cell_angle_beta 90.65
_cell_angle_gamma 90.00
loop_
_symmetry_equiv_pos_as_xyz
'x,y,z'
loop_
_atom_site_label
_atom_site_type_symbol
_atom_site_fract_x
_atom_site_fract_y
_atom_site_fract_z
Nb1 Nb 0.0000 0.0000 0.0000
Nb2 Nb 0.5000 0.5000 0.0000
V1 V 0.1287 0.5000 0.2425
V2 V 0.1635 0.3020 0.7425
V3 V 0.1635 0.6980 0.7425
V4 V 0.3365 0.1980 0.2575
V5 V 0.3365 0.8020 0.2575
V6 V 0.3713 0.0000 0.7575
V7 V 0.6287 0.0000 0.2425
V8 V 0.6635 0.1980 0.7425
V9 V 0.6635 0.8020 0.7425
V10 V 0.8365 0.3020 0.2575
V11 V 0.8365 0.6980 0.2575
V12 V 0.8713 0.5000 0.7575
Rh1 Rh 0.0000 0.0000 0.5000
Rh2 Rh 0.5000 0.5000 0.5000
```

Principal peaks in the range 10 to 80 degrees two-theta, low angle first:
| two_theta | I/Imax |
| --- | --- |
| 18.47 | 75 |
| 37.44 | 97 |
| 38.43 | 58 |
| 40.80 | 87 |
| 41.11 | 100 |
| 41.94 | 61 |
| 43.60 | 57 |
| 45.45 | 86 |

No. 6
Structure and simulated PXRD pattern of Nb3V2Rh8 (a structure optimized by DFT (GGA-PBE); copper Kα).
Neutral-atom scattering factors, no anomalous dispersion.

Structural model:
```
data_Nb3V2Rh8
_symmetry_space_group_name_H-M 'P 1'
_symmetry_Int_Tables_number 1
_cell_length_a 9.5847
_cell_length_b 9.5847
_cell_length_c 9.5847
_cell_angle_alpha 31.08
_cell_angle_beta 31.08
_cell_angle_gamma 31.08
loop_
_symmetry_equiv_pos_as_xyz
'x,y,z'
loop_
_atom_site_label
_atom_site_type_symbol
_atom_site_fract_x
_atom_site_fract_y
_atom_site_fract_z
Nb1 Nb 0.0000 0.0000 0.0000
Nb2 Nb 0.1885 0.1885 0.1885
Nb3 Nb 0.8115 0.8115 0.8115
V1 V 0.3640 0.3640 0.3640
V2 V 0.6360 0.6360 0.6360
Rh1 Rh 0.2285 0.7341 0.7341
Rh2 Rh 0.2659 0.2659 0.7715
Rh3 Rh 0.2659 0.7715 0.2659
Rh4 Rh 0.2836 0.2836 0.2836
Rh5 Rh 0.7164 0.7164 0.7164
Rh6 Rh 0.7341 0.2285 0.7341
Rh7 Rh 0.7341 0.7341 0.2285
Rh8 Rh 0.7715 0.2659 0.2659
```

Principal peaks in the range 10 to 80 degrees two-theta, low angle first:
| two_theta | I/Imax |
| --- | --- |
| 19.48 | 27 |
| 34.94 | 32 |
| 40.31 | 38 |
| 41.12 | 100 |
| 41.62 | 67 |
| 42.76 | 61 |
| 67.23 | 30 |
| 73.80 | 34 |

No. 7
Structure and simulated PXRD pattern of NbVRh4 (a structure optimized by DFT (GGA-PBE); copper Kα).
Neutral-atom scattering factors, no anomalous dispersion.

Structural model:
```
data_NbVRh4
_symmetry_space_group_name_H-M 'P 1'
_symmetry_Int_Tables_number 1
_cell_length_a 4.4984
_cell_length_b 8.3461
_cell_length_c 4.8318
_cell_angle_alpha 90.00
_cell_angle_beta 90.00
_cell_angle_gamma 90.00
loop_
_symmetry_equiv_pos_as_xyz
'x,y,z'
loop_
_atom_site_label
_atom_site_type_symbol
_atom_site_fract_x
_atom_site_fract_y
_atom_site_fract_z
Nb1 Nb 0.0000 0.0000 0.0000
Nb2 Nb 0.5000 0.0000 0.5000
V1 V 0.0000 0.5000 0.5000
V2 V 0.5000 0.5000 0.0000
Rh1 Rh 0.0000 0.1735 0.4373
Rh2 Rh 0.0000 0.3422 0.9280
Rh3 Rh 0.0000 0.6578 0.0720
Rh4 Rh 0.0000 0.8265 0.5627
Rh5 Rh 0.5000 0.1735 0.0627
Rh6 Rh 0.5000 0.3422 0.5720
Rh7 Rh 0.5000 0.6578 0.4280
Rh8 Rh 0.5000 0.8265 0.9373
```

Principal peaks in the range 10 to 80 degrees two-theta, low angle first:
| two_theta | I/Imax |
| --- | --- |
| 28.26 | 13 |
| 37.22 | 24 |
| 40.09 | 35 |
| 42.54 | 100 |
| 43.90 | 24 |
| 55.85 | 14 |
| 74.52 | 18 |
| 76.20 | 8 |

No. 8
Structure and simulated PXRD pattern of Nb2ZnRh3 (a structure optimized by DFT (GGA-PBE); copper Kα).
Neutral-atom scattering factors, no anomalous dispersion.

Structural model:
```
data_Nb2ZnRh3
_symmetry_space_group_name_H-M 'P 1'
_symmetry_Int_Tables_number 1
_cell_length_a 4.1300
_cell_length_b 12.2994
_cell_length_c 3.6614
_cell_angle_alpha 90.00
_cell_angle_beta 90.00
_cell_angle_gamma 90.00
loop_
_symmetry_equiv_pos_as_xyz
'x,y,z'
loop_
_atom_site_label
_atom_site_type_symbol
_atom_site_fract_x
_atom_site_fract_y
_atom_site_fract_z
Nb1 Nb 0.0000 0.1639 0.0000
Nb2 Nb 0.0000 0.8361 0.0000
Nb3 Nb 0.5000 0.3361 0.0000
Nb4 Nb 0.5000 0.6639 0.0000
Zn1 Zn 0.0000 0.5000 0.0000
Zn2 Zn 0.5000 0.0000 0.0000
Rh1 Rh 0.0000 0.0000 0.5000
Rh2 Rh 0.0000 0.3326 0.5000
Rh3 Rh 0.0000 0.6674 0.5000
Rh4 Rh 0.5000 0.1674 0.5000
Rh5 Rh 0.5000 0.5000 0.5000
Rh6 Rh 0.5000 0.8326 0.5000
```

Principal peaks in the range 10 to 80 degrees two-theta, low angle first:
| two_theta | I/Imax |
| --- | --- |
| 39.56 | 100 |
| 43.84 | 19 |
| 44.18 | 18 |
| 49.81 | 13 |
| 64.00 | 12 |
| 68.50 | 9 |
| 77.68 | 13 |
| 78.16 | 13 |

No. 9
Structure and simulated PXRD pattern of Nb2Zn2Rh3 (a structure optimized by DFT (GGA-PBE); copper Kα).
Neutral-atom scattering factors, no anomalous dispersion.

Structural model:
```
data_Nb2Zn2Rh3
_symmetry_space_group_name_H-M 'P 1'
_symmetry_Int_Tables_number 1
_cell_length_a 2.8862
_cell_length_b 26.2951
_cell_length_c 2.8955
_cell_angle_alpha 90.00
_cell_angle_beta 90.00
_cell_angle_gamma 90.00
loop_
_symmetry_equiv_pos_as_xyz
'x,y,z'
loop_
_atom_site_label
_atom_site_type_symbol
_atom_site_fract_x
_atom_site_fract_y
_atom_site_fract_z
Nb1 Nb 0.0000 0.0734 0.0000
Nb2 Nb 0.0000 0.9266 0.0000
Nb3 Nb 0.5000 0.4266 0.0000
Nb4 Nb 0.5000 0.5734 0.0000
Zn1 Zn 0.0000 0.2079 0.0000
Zn2 Zn 0.0000 0.7921 0.0000
Zn3 Zn 0.5000 0.2921 0.0000
Zn4 Zn 0.5000 0.7079 0.0000
Rh1 Rh 0.0000 0.3551 0.5000
Rh2 Rh 0.0000 0.5000 0.5000
Rh3 Rh 0.0000 0.6449 0.5000
Rh4 Rh 0.5000 0.0000 0.5000
Rh5 Rh 0.5000 0.1449 0.5000
Rh6 Rh 0.5000 0.8551 0.5000
```

Principal peaks in the range 10 to 80 degrees two-theta, low angle first:
| two_theta | I/Imax |
| --- | --- |
| 37.22 | 51 |
| 39.37 | 100 |
| 41.57 | 43 |
| 44.45 | 67 |
| 48.47 | 25 |
| 64.85 | 18 |
| 70.81 | 17 |
| 78.11 | 25 |

No. 10
Structure and simulated PXRD pattern of Nb5Ru (a structure optimized by DFT (GGA-PBE); copper Kα).
Neutral-atom scattering factors, no anomalous dispersion.

Structural model:
```
data_Nb5Ru
_symmetry_space_group_name_H-M 'P 1'
_symmetry_Int_Tables_number 1
_cell_length_a 4.6079
_cell_length_b 9.8449
_cell_length_c 4.5978
_cell_angle_alpha 90.00
_cell_angle_beta 90.00
_cell_angle_gamma 90.00
loop_
_symmetry_equiv_pos_as_xyz
'x,y,z'
loop_
_atom_site_label
_atom_site_type_symbol
_atom_site_fract_x
_atom_site_fract_y
_atom_site_fract_z
Nb1 Nb 0.0000 0.0000 0.0000
Nb2 Nb 0.0000 0.1630 0.5000
Nb3 Nb 0.0000 0.3364 0.0000
Nb4 Nb 0.0000 0.6636 0.0000
Nb5 Nb 0.0000 0.8370 0.5000
Nb6 Nb 0.5000 0.1636 0.0000
Nb7 Nb 0.5000 0.3370 0.5000
Nb8 Nb 0.5000 0.5000 0.0000
Nb9 Nb 0.5000 0.6630 0.5000
Nb10 Nb 0.5000 0.8364 0.0000
Ru1 Ru 0.0000 0.5000 0.5000
Ru2 Ru 0.5000 0.0000 0.5000
```

Principal peaks in the range 10 to 80 degrees two-theta, low angle first:
| two_theta | I/Imax |
| --- | --- |
| 38.98 | 100 |
| 39.14 | 50 |
| 56.05 | 8 |
| 56.55 | 16 |
| 70.48 | 17 |
| 70.76 | 16 |
| 70.88 | 16 |

No. 11
Structure and simulated PXRD pattern of NbRu2 (a structure optimized by DFT (GGA-PBE); copper Kα).
Neutral-atom scattering factors, no anomalous dispersion.

Structural model:
```
data_NbRu2
_symmetry_space_group_name_H-M 'P 1'
_symmetry_Int_Tables_number 1
_cell_length_a 5.1135
_cell_length_b 5.1135
_cell_length_c 5.1135
_cell_angle_alpha 60.00
_cell_angle_beta 60.00
_cell_angle_gamma 60.00
loop_
_symmetry_equiv_pos_as_xyz
'x,y,z'
loop_
_atom_site_label
_atom_site_type_symbol
_atom_site_fract_x
_atom_site_fract_y
_atom_site_fract_z
Nb1 Nb 0.1250 0.1250 0.1250
Nb2 Nb 0.8750 0.8750 0.8750
Ru1 Ru 0.0000 0.5000 0.5000
Ru2 Ru 0.5000 0.0000 0.5000
Ru3 Ru 0.5000 0.5000 0.0000
Ru4 Ru 0.5000 0.5000 0.5000
```

Principal peaks in the range 10 to 80 degrees two-theta, low angle first:
| two_theta | I/Imax |
| --- | --- |
| 21.28 | 8 |
| 35.10 | 25 |
| 41.41 | 100 |
| 43.34 | 43 |
| 50.48 | 6 |
| 62.97 | 9 |
| 67.27 | 31 |
| 74.18 | 27 |